Structure and computed X-ray diffraction stick pattern of EuBr3 (DFT lattice parameters and positions (GGA-PBE); λ = 1.5418 Å (Cu Kα)).
Lines closer than 0.1° are merged.

Most intense lines, 2θ = 15–90°, by angle:
| 2θ/deg | I_rel | (hkl) |
| --- | --- | --- |
| 29.75 | 27 | 1 1 2 |
| 30.24 | 100 | 1 3 1 |
| 32.00 | 59 | 0 2 3 |
| 37.18 | 48 | 1 1 3 |
| 39.68 | 35 | 1 5 1 |
| 43.07 | 28 | 0 6 2 |
| 43.51 | 23 | 2 0 0 |
| 55.02 | 25 | 2 2 3 |

Structure:
Cell lengths 4.160, 14.198, 9.119 Å; angles 90.00, 90.00, 90.00 degrees
Space group Cmcm (No. 63)
Asymmetric unit:
Eu: 0.000 0.245 0.250 x4
Br: 0.000 0.150 0.566 x8
Br: 0.000 0.401 0.750 x4


Structure and computed X-ray diffraction stick pattern of Sr3LaNb3O12 (DFT lattice parameters and positions (GGA-PBE); λ = 1.5418 Å (Cu Kα)).
Lines closer than 0.1° are merged.

Most intense lines, 2θ = 15–90°, by angle:
| 2θ/deg | I_rel | (hkl) |
| --- | --- | --- |
| 28.82 | 100 | 1 0 7 |
| 31.18 | 73 | 1 1 0 |
| 42.97 | 50 | 0 2 7 |
| 49.52 | 23 | 0 1 14 |
| 54.04 | 36 | 3 -1 7 |
| 55.49 | 19 | 3 0 0 |
| 59.69 | 15 | 2 0 14 |
| 68.89 | 18 | 3 -2 14 |

Structure:
Cell lengths 5.7364, 5.7364, 27.7420 Å; angles 90.00, 90.00, 120.00 degrees
Space group R3 (No. 146, hexagonal axes)
Asymmetric unit:
Sr: 0.0000 0.0000 0.0000 x3
Sr: 0.0000 0.0000 0.1438 x3
Sr: 0.0000 0.0000 0.4275 x3
La: 0.0000 0.0000 0.5712 x3
Nb: 0.0000 0.0000 0.2868 x3
Nb: 0.0000 0.0000 0.7094 x3
Nb: 0.0000 0.0000 0.8620 x3
O: 0.0009 0.4287 0.5780 x9
O: 0.0022 0.4293 0.4059 x9
O: 0.0047 0.5730 0.1663 x9
O: 0.1115 0.7746 0.3230 x9